Diffraction record for CuPt2. The XRD peak list is calculated, not measured: it uses a cell relaxed with PBE and Cu Kα X-rays.

Cell: 6.692 5.500 4.767 Å, 90.00 90.12 90.00°
Element x y z (fractional)
Cu: 0.164 0.126 0.083
Cu: 0.164 0.374 0.583
Cu: 0.836 0.626 0.417
Cu: 0.836 0.874 0.917
Pt: 0.158 0.626 0.090
Pt: 0.158 0.874 0.590
Pt: 0.498 0.125 0.753
Pt: 0.498 0.375 0.253
Pt: 0.502 0.625 0.747
Pt: 0.502 0.875 0.247
Pt: 0.842 0.126 0.410
Pt: 0.842 0.374 0.910

The 8 most intense peaks (2θ from 10° to 90°), by angle:
2theta  d (Å)  I_rel
40.2  2.245  100.0
40.4  2.231  31.7
46.8  1.942  42.5
46.8  1.939  21.1
68.2  1.376  20.4
68.6  1.368  13.6
82.2  1.173  12.5
82.4  1.170  16.3

---

Diffraction record for Mg2Zr3N. The XRD peak list is calculated, not measured: it uses a cell relaxed with PBE and Cu Kα X-rays.

Cell: 7.621 7.621 7.621 Å, 90.00 90.00 90.00°
Element x y z (fractional)
Mg: 0.073 0.073 0.073
Mg: 0.177 0.823 0.323
Mg: 0.323 0.177 0.823
Mg: 0.427 0.927 0.573
Mg: 0.573 0.427 0.927
Mg: 0.677 0.677 0.677
Mg: 0.823 0.323 0.177
Mg: 0.927 0.573 0.427
Zr: 0.037 0.875 0.713
Zr: 0.125 0.213 0.463
Zr: 0.213 0.463 0.125
Zr: 0.287 0.537 0.625
Zr: 0.375 0.787 0.963
Zr: 0.463 0.125 0.213
Zr: 0.537 0.625 0.287
Zr: 0.625 0.287 0.537
Zr: 0.713 0.037 0.875
Zr: 0.787 0.963 0.375
Zr: 0.875 0.713 0.037
Zr: 0.963 0.375 0.787
N: 0.125 0.625 0.875
N: 0.375 0.375 0.375
N: 0.625 0.875 0.125
N: 0.875 0.125 0.625

The 8 most intense peaks (2θ from 10° to 90°), by angle:
2theta  d (Å)  I_rel
16.4  5.389  22.0
26.1  3.408  18.8
35.3  2.540  100.0
37.3  2.410  55.3
39.2  2.298  16.5
53.8  1.704  16.4
62.1  1.495  18.0
66.0  1.415  21.3

---

Diffraction record for CsRb12Au7. The XRD peak list is calculated, not measured: it uses a cell relaxed with PBE and Cu Kα X-rays.

Cell: 12.869 12.869 12.869 Å, 116.52 116.52 116.52°
Element x y z (fractional)
Cs: 0.000 0.000 0.000
Rb: 0.087 0.703 0.232
Rb: 0.156 0.371 0.448
Rb: 0.232 0.087 0.703
Rb: 0.297 0.768 0.913
Rb: 0.371 0.448 0.156
Rb: 0.448 0.156 0.371
Rb: 0.552 0.844 0.629
Rb: 0.629 0.552 0.844
Rb: 0.703 0.232 0.087
Rb: 0.768 0.913 0.297
Rb: 0.844 0.629 0.552
Rb: 0.913 0.297 0.768
Au: 0.043 0.361 0.123
Au: 0.123 0.043 0.361
Au: 0.361 0.123 0.043
Au: 0.500 0.500 0.500
Au: 0.639 0.877 0.957
Au: 0.877 0.957 0.639
Au: 0.957 0.639 0.877

The 8 most intense peaks (2θ from 10° to 90°), by angle:
2theta  d (Å)  I_rel
15.3  5.780  17.0
17.4  5.111  17.2
29.4  3.035  99.0
29.8  2.996  100.0
42.4  2.132  35.7
52.2  1.752  19.4
52.4  1.745  38.0
53.2  1.723  18.7

---

Diffraction record for CaDyAl. The XRD peak list is calculated, not measured: it uses a cell relaxed with PBE and Cu Kα X-rays.

Cell: 7.152 7.152 7.152 Å, 150.99 150.99 41.48°
Element x y z (fractional)
Ca: 0.000 0.000 0.000
Dy: 0.281 0.281 0.000
Al: 0.651 0.651 0.000

The 8 most intense peaks (2θ from 10° to 90°), by angle:
2theta  d (Å)  I_rel
13.2  6.689  61.7
25.7  3.460  70.8
26.7  3.344  24.6
32.0  2.793  100.0
35.4  2.533  45.0
42.2  2.144  23.4
44.9  2.019  24.0
61.5  1.508  30.1

---

Diffraction record for Ir4OsW. The XRD peak list is calculated, not measured: it uses a cell relaxed with PBE and Cu Kα X-rays.

Cell: 7.907 7.907 4.507 Å, 90.00 90.00 139.42°
Element x y z (fractional)
Ir: 0.105 0.394 0.750
Ir: 0.209 0.287 0.250
Ir: 0.287 0.209 0.750
Ir: 0.394 0.105 0.250
Ir: 0.606 0.895 0.750
Ir: 0.713 0.791 0.250
Ir: 0.791 0.713 0.750
Ir: 0.895 0.606 0.250
Os: 0.196 0.804 0.750
Os: 0.804 0.196 0.250
W: 0.303 0.697 0.250
W: 0.697 0.303 0.750

The 8 most intense peaks (2θ from 10° to 90°), by angle:
2theta  d (Å)  I_rel
34.9  2.572  40.5
40.0  2.254  63.4
40.4  2.234  34.1
41.7  2.167  87.0
45.8  1.980  100.0
54.1  1.695  23.5
83.4  1.159  24.2
86.1  1.129  23.8

---

Diffraction record for In2SnPd4. The XRD peak list is calculated, not measured: it uses a cell relaxed with PBE and Cu Kα X-rays.

Cell: 6.572 6.572 7.736 Å, 108.72 108.72 104.04°
Element x y z (fractional)
In: 0.000 0.000 0.000
In: 0.000 0.000 0.500
In: 0.000 0.500 0.000
In: 0.500 0.000 0.500
Sn: 0.375 0.625 0.750
Sn: 0.625 0.375 0.250
Pd: 0.096 0.615 0.395
Pd: 0.279 0.299 0.894
Pd: 0.299 0.279 0.394
Pd: 0.385 0.904 0.105
Pd: 0.615 0.096 0.895
Pd: 0.701 0.721 0.606
Pd: 0.721 0.701 0.106
Pd: 0.904 0.385 0.605

The 8 most intense peaks (2θ from 10° to 90°), by angle:
2theta  d (Å)  I_rel
34.6  2.590  46.8
34.8  2.575  31.1
35.1  2.560  100.0
36.8  2.439  82.6
43.7  2.071  44.2
44.5  2.038  34.3
47.0  1.933  32.7
47.5  1.914  39.5

---

Diffraction record for Np2Tl3HgS6. The XRD peak list is calculated, not measured: it uses a cell relaxed with PBE and Cu Kα X-rays.

Cell: 7.137 7.137 7.723 Å, 97.34 97.34 122.14°
Element x y z (fractional)
Np: 0.169 0.831 0.000
Np: 0.831 0.169 0.000
Tl: 0.000 0.000 0.500
Tl: 0.344 0.656 0.500
Tl: 0.656 0.344 0.500
Hg: 0.500 0.500 0.000
S: 0.058 0.435 0.786
S: 0.232 0.232 0.174
S: 0.435 0.058 0.786
S: 0.565 0.942 0.214
S: 0.768 0.768 0.826
S: 0.942 0.565 0.214

The 8 most intense peaks (2θ from 10° to 90°), by angle:
2theta  d (Å)  I_rel
23.9  3.724  48.8
26.4  3.379  72.7
26.8  3.330  34.4
29.5  3.030  100.0
30.9  2.891  44.2
40.8  2.209  20.3
41.4  2.180  36.5
45.0  2.013  31.8

---

Diffraction record for Cs2HfCuS4. The XRD peak list is calculated, not measured: it uses a cell relaxed with PBE and Cu Kα X-rays.

Cell: 7.993 7.993 7.382 Å, 90.05 90.05 98.23°
Element x y z (fractional)
Cs: 0.000 0.000 0.000
Cs: 0.000 0.000 0.500
Cs: 0.000 0.500 0.000
Cs: 0.500 0.000 0.500
Hf: 0.500 0.500 0.000
Hf: 0.500 0.500 0.500
Cu: 0.000 0.500 0.500
Cu: 0.500 0.000 0.000
S: 0.233 0.664 0.500
S: 0.331 0.332 0.750
S: 0.332 0.331 0.250
S: 0.336 0.767 0.000
S: 0.664 0.233 0.000
S: 0.668 0.669 0.750
S: 0.669 0.668 0.250
S: 0.767 0.336 0.500

The 8 most intense peaks (2θ from 10° to 90°), by angle:
2theta  d (Å)  I_rel
22.5  3.955  97.1
24.1  3.691  60.2
29.6  3.021  64.4
33.2  2.698  100.0
38.5  2.338  32.1
42.3  2.134  38.4
52.5  1.743  34.1
54.8  1.675  52.6